Calculated X-ray diffraction stick pattern of ZrIr for Cu Ka, from a DFT-relaxed cell (PBE, the Materials Project).
Neutral-atom scattering factors, no anomalous dispersion.

Top 10 peaks for 2θ from 10° to 90°, sorted by position:
h k l  Position (°2θ)  I_rel
0 0 1  24.3  9
1 0 0  28.5  12
1 0 1  37.8  100
1 1 0  40.7  41
0 0 2  49.8  11
2 0 0  58.9  14
1 1 2  66.2  19
2 1 1  72.1  30
2 0 2  80.7  11
1 0 3  85.3  10

Crystal structure
Lattice parameters (Å, degrees): 3.136 3.136 3.663 90.00 90.00 90.00
Space group P4/mmm (No. 123)
Inequivalent atoms, fractional coordinates:
Zr: 0.000 0.000 0.000 [1 per cell]
Ir: 0.500 0.500 0.500 [1 per cell]

=====

Calculated X-ray diffraction stick pattern of ZrIr for Cu Ka, from a DFT-relaxed cell (PBE, the Materials Project).
Neutral-atom scattering factors, no anomalous dispersion.

Top 8 peaks for 2θ from 10° to 90°, sorted by position:
h k l  Position (°2θ)  I_rel
1 0 0  26.9  14
1 1 0  38.4  100
1 1 1  47.5  4
2 0 0  55.4  17
2 1 0  62.6  6
2 1 1  69.4  35
2 2 0  82.2  11
3 0 0  88.4  3

Crystal structure
Lattice parameters (Å, degrees): 3.317 3.317 3.317 90.00 90.00 90.00
Space group Pm-3m (No. 221)
Inequivalent atoms, fractional coordinates:
Zr: 0.000 0.000 0.000 [1 per cell]
Ir: 0.500 0.500 0.500 [1 per cell]